This entry pairs a crystal structure of Cu2Br2Cl7 with its simulated powder diffractogram. Radiation: CuKα. Structure: a cell relaxed with GGA-PBE.
No peak broadening, texture or thermal motion is included.

Largest 12 diffraction maxima, in order of falling intensity, 2θ = 10–90°:
d 5.038, 17.60°, I 100
d 5.732, 15.46°, I 57
d 4.416, 20.11°, I 50
d 8.314, 10.64°, I 49
d 2.820, 31.73°, I 30
d 3.886, 22.89°, I 30
d 3.418, 26.07°, I 28
d 5.093, 17.41°, I 26
d 4.578, 19.39°, I 24
d 3.310, 26.94°, I 22
d 2.160, 41.81°, I 21
d 3.638, 24.47°, I 19

Crystal structure
Cell: 9.5419 9.5419 10.9301 Å, 110.38 110.38 100.77°
Fractional positions:
Cu 0.0866 0.2619 0.2458
Cu 0.2619 0.0866 0.7458
Cu 0.7381 0.9134 0.2542
Cu 0.9134 0.7381 0.7542
Br 0.2961 0.6770 0.9650
Br 0.3230 0.7039 0.5350
Br 0.6770 0.2961 0.4650
Br 0.7039 0.3230 0.0350
Cl 0.0383 0.9617 0.7500
Cl 0.0781 0.6079 0.7277
Cl 0.1267 0.2210 0.6699
Cl 0.2210 0.1267 0.1699
Cl 0.2933 0.4916 0.3245
Cl 0.3921 0.9219 0.7723
Cl 0.4916 0.2933 0.8245
Cl 0.5084 0.7067 0.1755
Cl 0.6079 0.0781 0.2277
Cl 0.7067 0.5084 0.6755
Cl 0.7790 0.8733 0.8301
Cl 0.8733 0.7790 0.3301
Cl 0.9219 0.3921 0.2723
Cl 0.9617 0.0383 0.2500